Na2SiH10O8: calculated X-ray powder pattern (a wavelength of 1.5418 Å), based on a cell relaxed with GGA-PBE.
Intensities are scaled so that the largest is 100.

Crystal structure
Cell: 6.6644 7.9580 8.6169 Å, 108.98 98.92 103.77°
Fractional coordinates of all 42 atoms:
Na  0.1317  0.3211  0.1637
Na  0.3124  0.5416  0.6464
Na  0.6876  0.4584  0.3536
Na  0.8683  0.6789  0.8363
Si  0.4712  0.0330  0.2655
Si  0.5288  0.9670  0.7345
H  0.0065  0.8414  0.2088
H  0.0744  0.7739  0.5816
H  0.1383  0.1669  0.4057
H  0.1582  0.4649  0.8888
H  0.2505  0.1950  0.8496
H  0.2821  0.9246  0.4358
H  0.2945  0.6824  0.9848
H  0.3864  0.6875  0.4093
H  0.4278  0.1404  0.0454
H  0.4580  0.6813  0.2424
H  0.5420  0.3187  0.7576
H  0.5722  0.8596  0.9546
H  0.6136  0.3125  0.5907
H  0.7055  0.3176  0.0152
H  0.7179  0.0754  0.5642
H  0.7495  0.8050  0.1504
H  0.8418  0.5351  0.1112
H  0.8617  0.8331  0.5943
H  0.9256  0.2261  0.4184
H  0.9935  0.1586  0.7912
O  0.0806  0.2730  0.4176
O  0.1288  0.2437  0.8760
O  0.1771  0.5914  0.8836
O  0.2578  0.9774  0.3439
O  0.3262  0.8273  0.5745
O  0.3928  0.1568  0.1575
O  0.4207  0.6016  0.3088
O  0.4883  0.1522  0.8586
O  0.5117  0.8478  0.1414
O  0.5793  0.3984  0.6912
O  0.6072  0.8432  0.8425
O  0.6738  0.1727  0.4255
O  0.7422  0.0226  0.6561
O  0.8229  0.4086  0.1164
O  0.8712  0.7563  0.1240
O  0.9194  0.7270  0.5824

The 8 most intense peaks (10° ≤ 2θ ≤ 90°), sorted by position:
2θ/deg	intensity	hkl
14.1	100	1 0 0
15.7	64	1 -1 0
21.5	60	1 1 0
22.6	47	0 0 2
26.6	87	0 2 -2
27.3	87	2 -1 0
28.0	99	1 1 1
32.6	69	1 1 -3